(1)
Diffraction record for Er12ZrSc2. The XRD peak list is simulated, not measured: it uses DFT lattice parameters and positions (PBE) and Cu Ka.

Structure:
Lattice parameters (Å, degrees): 7.063 10.943 22.995 90.00 94.39 90.00
Space group C2/m (No. 12)
Asymmetric unit:
Er 0.016 0.245 0.064 [8 per cell]
Er 0.035 0.500 0.140 [4 per cell]
Er 0.037 0.000 0.147 [4 per cell]
Er 0.080 0.249 0.319 [8 per cell]
Er 0.105 0.000 0.418 [4 per cell]
Er 0.105 0.500 0.417 [4 per cell]
Er 0.139 0.250 0.558 [8 per cell]
Er 0.202 0.250 0.808 [8 per cell]
Zr 0.217 0.500 0.000 [4 per cell]
Sc 0.177 0.500 0.719 [4 per cell]
Sc 0.182 0.000 0.719 [4 per cell]

Principal peaks in the range 2θ = 10–90°, low angle first:
2θ = 30.81°, intensity 22; 2θ = 31.21°, intensity 16; 2θ = 31.84°, intensity 21; 2θ = 32.74°, intensity 47; 2θ = 33.14°, intensity 100; 2θ = 34.99°, intensity 27; 2θ = 35.35°, intensity 32; 2θ = 45.57°, intensity 15; 2θ = 58.69°, intensity 19; 2θ = 60.19°, intensity 17



(2)
Diffraction record for Tb6Ho2Ru. The XRD peak list is simulated, not measured: it uses DFT lattice parameters and positions (PBE) and Cu Ka.

Structure:
Lattice parameters (Å, degrees): 8.627 3.694 8.718 90.00 93.36 90.00
Space group P2/m (No. 10)
Asymmetric unit:
Tb 0.035 0.000 0.198 [2 per cell]
Tb 0.231 0.500 0.552 [2 per cell]
Tb 0.445 0.000 0.280 [2 per cell]
Ho 0.301 0.500 0.967 [2 per cell]
Ru 0.000 0.000 0.500 [1 per cell]

Principal peaks in the range 2θ = 10–90°, low angle first:
2θ = 27.99°, intensity 18; 2θ = 30.04°, intensity 34; 2θ = 31.78°, intensity 46; 2θ = 31.94°, intensity 100; 2θ = 32.26°, intensity 21; 2θ = 41.44°, intensity 18; 2θ = 49.34°, intensity 13; 2θ = 49.90°, intensity 25; 2θ = 54.36°, intensity 17; 2θ = 60.01°, intensity 11



(3)
Diffraction record for GaCu2Br4. The XRD peak list is simulated, not measured: it uses DFT lattice parameters and positions (PBE) and Cu Ka.

Structure:
Lattice parameters (Å, degrees): 5.717 5.717 12.450 90.00 90.00 90.00
Space group I-42m (No. 121)
Asymmetric unit:
Ga 0.000 0.000 0.000 [2 per cell]
Cu 0.000 0.500 0.250 [4 per cell]
Br 0.237 0.237 0.637 [8 per cell]

Principal peaks in the range 2θ = 10–90°, low angle first:
2θ = 14.23°, intensity 10; 2θ = 26.29°, intensity 100; 2θ = 42.96°, intensity 47; 2θ = 44.84°, intensity 22; 2θ = 49.37°, intensity 15; 2θ = 52.73°, intensity 27; 2θ = 65.29°, intensity 7; 2θ = 68.88°, intensity 10; 2θ = 77.39°, intensity 6; 2θ = 81.38°, intensity 13



(4)
Diffraction record for Cs2LiF3. The XRD peak list is simulated, not measured: it uses DFT lattice parameters and positions (PBE) and Cu Ka.

Structure:
Lattice parameters (Å, degrees): 3.865 21.853 6.152 90.00 90.00 90.00
Space group Cmcm (No. 63)
Asymmetric unit:
Cs 0.000 0.083 0.250 [4 per cell]
Cs 0.000 0.298 0.250 [4 per cell]
Li 0.000 0.452 0.250 [4 per cell]
F 0.000 0.092 0.750 [4 per cell]
F 0.000 0.303 0.750 [4 per cell]
F 0.000 0.500 0.000 [4 per cell]

Principal peaks in the range 2θ = 10–90°, low angle first:
2θ = 21.76°, intensity 99; 2θ = 27.56°, intensity 75; 2θ = 29.03°, intensity 52; 2θ = 30.89°, intensity 100; 2θ = 39.43°, intensity 19; 2θ = 42.90°, intensity 59; 2θ = 46.57°, intensity 31; 2θ = 47.03°, intensity 17; 2θ = 52.38°, intensity 20; 2θ = 69.16°, intensity 18



(5)
Diffraction record for DyHo3Au4. The XRD peak list is simulated, not measured: it uses DFT lattice parameters and positions (PBE) and Cu Ka.

Structure:
Lattice parameters (Å, degrees): 5.0689 5.0689 24.9418 90.00 90.00 120.00
Space group R-3m (No. 166, hexagonal axes)
Asymmetric unit:
Dy 0.0000 0.0000 0.0000 [3 per cell]
Ho 0.0000 0.0000 0.2499 [6 per cell]
Ho 0.0000 0.0000 0.5000 [3 per cell]
Au 0.0000 0.0000 0.1254 [6 per cell]
Au 0.0000 0.0000 0.3754 [6 per cell]

Principal peaks in the range 2θ = 10–90°, low angle first:
2θ = 24.80°, intensity 2; 2θ = 35.31°, intensity 100; 2θ = 35.42°, intensity 99; 2θ = 50.88°, intensity 36; 2θ = 63.31°, intensity 19; 2θ = 63.54°, intensity 55; 2θ = 74.68°, intensity 12; 2θ = 74.94°, intensity 12; 2θ = 85.46°, intensity 17; 2θ = 85.65°, intensity 17



(6)
Diffraction record for Ca3SmPa2P6. The XRD peak list is simulated, not measured: it uses DFT lattice parameters and positions (PBE) and Cu Ka.

Structure:
Lattice parameters (Å, degrees): 7.081 12.260 7.044 90.00 109.60 90.00
Space group C2/m (No. 12)
Asymmetric unit:
Ca 0.000 0.000 0.000 [2 per cell]
Ca 0.000 0.336 0.000 [4 per cell]
Sm 0.000 0.500 0.500 [2 per cell]
Pa 0.000 0.167 0.500 [4 per cell]
P 0.232 0.000 0.732 [4 per cell]
P 0.250 0.173 0.269 [8 per cell]

Principal peaks in the range 2θ = 10–90°, low angle first:
2θ = 13.34°, intensity 68; 2θ = 25.56°, intensity 41; 2θ = 26.73°, intensity 51; 2θ = 31.00°, intensity 100; 2θ = 33.88°, intensity 18; 2θ = 44.32°, intensity 37; 2θ = 44.50°, intensity 36; 2θ = 46.49°, intensity 20; 2θ = 52.57°, intensity 26; 2θ = 55.07°, intensity 19



(7)
Diffraction record for TiSn2O4. The XRD peak list is simulated, not measured: it uses DFT lattice parameters and positions (PBE) and Cu Ka.

Structure:
Lattice parameters (Å, degrees): 8.619 8.619 6.006 90.00 90.00 90.00
Space group P4_2/mbc (No. 135)
Asymmetric unit:
Ti 0.000 0.500 0.250 [4 per cell]
Sn 0.147 0.163 0.000 [8 per cell]
O 0.097 0.619 0.000 [8 per cell]
O 0.163 0.337 0.250 [8 per cell]

Principal peaks in the range 2θ = 10–90°, low angle first:
2θ = 27.50°, intensity 100; 2θ = 29.75°, intensity 11; 2θ = 32.86°, intensity 21; 2θ = 33.26°, intensity 11; 2θ = 36.47°, intensity 9; 2θ = 45.97°, intensity 15; 2θ = 51.43°, intensity 19; 2θ = 52.25°, intensity 13; 2θ = 54.54°, intensity 20; 2θ = 59.80°, intensity 15



(8)
Diffraction record for NpSi3Ir. The XRD peak list is simulated, not measured: it uses DFT lattice parameters and positions (PBE) and Cu Ka.

Structure:
Lattice parameters (Å, degrees): 4.168 4.168 9.836 90.00 90.00 90.00
Space group I4mm (No. 107)
Asymmetric unit:
Np 0.000 0.000 0.000 [2 per cell]
Si 0.000 0.000 0.580 [2 per cell]
Si 0.000 0.500 0.229 [4 per cell]
Ir 0.000 0.000 0.343 [2 per cell]

Principal peaks in the range 2θ = 10–90°, low angle first:
2θ = 18.04°, intensity 21; 2θ = 23.18°, intensity 49; 2θ = 30.33°, intensity 63; 2θ = 34.82°, intensity 100; 2θ = 35.51°, intensity 43; 2θ = 43.43°, intensity 40; 2θ = 51.36°, intensity 17; 2θ = 56.82°, intensity 50; 2θ = 65.11°, intensity 17; 2θ = 69.47°, intensity 14



(9)
Diffraction record for MgTl2Pt. The XRD peak list is simulated, not measured: it uses DFT lattice parameters and positions (PBE) and Cu Ka.

Structure:
Lattice parameters (Å, degrees): 9.090 3.862 6.392 90.00 115.25 90.00
Space group Cm (No. 8)
Asymmetric unit:
Mg 0.000 0.000 0.000 [2 per cell]
Tl 0.120 0.500 0.674 [2 per cell]
Tl 0.306 0.500 0.356 [2 per cell]
Pt 0.303 0.000 0.023 [2 per cell]

Principal peaks in the range 2θ = 10–90°, low angle first:
2θ = 20.48°, intensity 59; 2θ = 21.62°, intensity 34; 2θ = 25.48°, intensity 21; 2θ = 29.22°, intensity 28; 2θ = 31.63°, intensity 27; 2θ = 32.24°, intensity 100; 2θ = 36.57°, intensity 69; 2θ = 37.77°, intensity 48; 2θ = 41.62°, intensity 32; 2θ = 47.11°, intensity 47